(1)
The following is a simulated powder X-ray diffraction pattern of TbYAl4Pd2. It was derived from a DFT-relaxed cell (PBE, OQMD), using λ = 1.5418 Å (Cu Kα).
Peak positions follow from Bragg's law for the DFT cell and can differ from measured ones.

Main lines, low angle first (15° ≤ 2θ ≤ 90°):
h k l  Position (°2θ)  I_rel
0 1 1  22.43  430
2 0 0  25.63  508
2 1 1  34.32  727
1 1 3  35.99  1000
1 0 4  37.41  503
0 2 0  42.05  305
2 2 0  49.89  164
3 1 3  52.24  255
1 2 4  57.53  284
0 1 7  67.61  144

Structure:
a b c (Å): 6.952 4.298 10.247
angles (deg): 90.00 90.00 90.00
Space group Amm2 (No. 38)
One atom of each set of equivalent atoms:
Tb 0.000 0.000 0.000 x2
Y 0.500 0.000 0.144 x2
Al 0.197 0.000 0.714 x4
Al 0.304 0.000 0.429 x4
Pd 0.000 0.000 0.281 x2
Pd 0.500 0.000 0.862 x2



(2)
The following is a simulated powder X-ray diffraction pattern of TmAlPd. It was derived from a DFT-relaxed cell (PBE, OQMD), using λ = 1.5418 Å (Cu Kα).
Peak positions follow from Bragg's law for the DFT cell and can differ from measured ones.

Main lines, low angle first (15° ≤ 2θ ≤ 90°):
h k l  Position (°2θ)  I_rel
0 1 1  23.26  143
1 1 1  26.72  237
1 1 2  33.54  559
2 0 2  35.10  151
2 1 1  35.26  1000
1 0 3  37.33  226
0 1 3  40.59  183
0 2 0  41.00  326
3 0 2  46.34  152
2 3 1  70.98  145

Structure:
a b c (Å): 6.821 4.402 7.725
angles (deg): 90.00 90.00 90.00
Space group Pnma (No. 62)
One atom of each set of equivalent atoms:
Tm 0.030 0.250 0.181 x4
Al 0.147 0.250 0.563 x4
Pd 0.230 0.750 0.383 x4



(3)
The following is a simulated powder X-ray diffraction pattern of Pm3SmAl8. It was derived from a DFT-relaxed cell (PBE, OQMD), using λ = 1.5418 Å (Cu Kα).
Peak positions follow from Bragg's law for the DFT cell and can differ from measured ones.

Main lines, low angle first (15° ≤ 2θ ≤ 90°):
h k l  Position (°2θ)  I_rel
0 1 2  19.21  592
1 1 0  31.63  983
2 0 2  37.27  1000
1 2 2  49.67  155
3 0 0  56.33  383
3 0 6  60.09  330
2 2 0  66.06  218
1 1 18  69.51  113
3 1 8  75.09  163
1 3 10  78.37  114

Structure:
a b c (Å): 5.6584 5.6584 27.7064
angles (deg): 90.00 90.00 120.00
Space group R3m (No. 160, hexagonal axes)
One atom of each set of equivalent atoms:
Pm 0.0000 0.0000 0.0000 x3
Pm 0.0000 0.0000 0.1250 x3
Pm 0.0000 0.0000 0.5000 x3
Sm 0.0000 0.0000 0.6250 x3
Al 0.0000 0.0000 0.3125 x3
Al 0.0000 0.0000 0.8125 x3
Al 0.9999 0.4999 0.0624 x9
Al 0.0001 0.5000 0.5626 x9



(4)
The following is a simulated powder X-ray diffraction pattern of Pm2AlZn7. It was derived from a DFT-relaxed cell (PBE, OQMD), using λ = 1.5418 Å (Cu Kα).
Peak positions follow from Bragg's law for the DFT cell and can differ from measured ones.

Main lines, low angle first (15° ≤ 2θ ≤ 90°):
h k l  Position (°2θ)  I_rel
1 1 0  30.12  250
1 0 3  33.00  710
1 1 2  34.58  1000
2 0 0  43.11  551
1 0 5  47.80  368
2 1 3  55.34  320
2 2 0  62.61  175
2 1 5  66.31  268
3 1 2  73.54  212
2 0 8  86.41  126

Structure:
a b c (Å): 4.197 4.197 10.676
angles (deg): 90.00 90.00 90.00
Space group P-4m2 (No. 115)
One atom of each set of equivalent atoms:
Pm 0.000 0.500 0.249 x2
Al 0.000 0.000 0.500 x1
Zn 0.000 0.000 0.000 x1
Zn 0.000 0.500 0.637 x2
Zn 0.000 0.500 0.866 x2
Zn 0.500 0.500 0.000 x1
Zn 0.500 0.500 0.500 x1



(5)
The following is a simulated powder X-ray diffraction pattern of Pr3Al2. It was derived from a DFT-relaxed cell (PBE, OQMD), using λ = 1.5418 Å (Cu Kα).
Peak positions follow from Bragg's law for the DFT cell and can differ from measured ones.

Main lines, low angle first (15° ≤ 2θ ≤ 90°):
h k l  Position (°2θ)  I_rel
2 1 0  23.08  499
1 1 2  27.23  500
2 2 0  29.32  393
2 0 2  31.00  1000
2 1 2  32.74  832
3 1 0  32.87  712
3 1 1  34.89  273
4 1 2  49.53  203
3 3 2  50.73  319
3 1 4  58.36  230

Structure:
a b c (Å): 8.617 8.617 7.766
angles (deg): 90.00 90.00 90.00
Space group P4_2/mnm (No. 136)
One atom of each set of equivalent atoms:
Pr 0.000 0.500 0.250 x4
Pr 0.149 0.149 0.000 x4
Pr 0.202 0.202 0.500 x4
Al 0.117 0.883 0.312 x8



(6)
The following is a simulated powder X-ray diffraction pattern of PrAlRe. It was derived from a DFT-relaxed cell (PBE, OQMD), using λ = 1.5418 Å (Cu Kα).
Peak positions follow from Bragg's law for the DFT cell and can differ from measured ones.

Main lines, low angle first (15° ≤ 2θ ≤ 90°):
h k l  Position (°2θ)  I_rel
1 1 1  23.68  48
2 0 0  27.41  916
2 2 0  39.16  1000
3 1 1  46.27  25
2 2 2  48.46  262
4 0 0  56.58  172
3 3 1  62.18  11
4 2 0  63.99  343
4 2 2  70.96  350
4 4 0  84.16  112

Structure:
a b c (Å): 6.507 6.507 6.507
angles (deg): 90.00 90.00 90.00
Space group F-43m (No. 216)
One atom of each set of equivalent atoms:
Pr 0.000 0.000 0.000 x4
Al 0.250 0.250 0.250 x4
Re 0.000 0.000 0.500 x4



(7)
The following is a simulated powder X-ray diffraction pattern of TbPrAl6. It was derived from a DFT-relaxed cell (PBE, OQMD), using λ = 1.5418 Å (Cu Kα).
Peak positions follow from Bragg's law for the DFT cell and can differ from measured ones.

Main lines, low angle first (15° ≤ 2θ ≤ 90°):
h k l  Position (°2θ)  I_rel
1 0 0  15.86  236
1 0 1  25.11  982
1 1 0  27.65  488
2 0 0  32.04  258
2 0 1  37.70  1000
0 0 2  39.26  210
2 1 1  47.39  249
1 1 2  48.70  211
3 1 1  63.35  193
2 2 2  71.50  179

Structure:
a b c (Å): 6.4515 6.4515 4.5897
angles (deg): 90.00 90.00 120.00
Space group P-6m2 (No. 187)
One atom of each set of equivalent atoms:
Tb 0.0000 0.0000 0.0000 x1
Pr 0.6667 0.3333 0.5000 x1
Al 0.0499 0.5249 0.0000 x3
Al 0.1883 0.3767 0.5000 x3



(8)
The following is a simulated powder X-ray diffraction pattern of Al21Pt8. It was derived from a DFT-relaxed cell (PBE, OQMD), using λ = 1.5418 Å (Cu Kα).
Peak positions follow from Bragg's law for the DFT cell and can differ from measured ones.

Main lines, low angle first (15° ≤ 2θ ≤ 90°):
h k l  Position (°2θ)  I_rel
2 2 2  25.45  597
1 0 3  25.79  436
3 2 1  25.99  1000
4 0 0  27.28  559
1 4 1  29.43  221
1 5 2  39.00  187
5 0 3  42.88  302
3 3 4  44.80  242
2 1 5  44.95  323
4 5 1  45.31  367

Structure:
a b c (Å): 13.045 13.045 10.746
angles (deg): 90.00 90.00 90.00
Space group I4_1/a (No. 88, origin choice 2)
One atom of each set of equivalent atoms:
Al 0.000 0.250 0.125 x4
Al 0.010 0.468 0.145 x16
Al 0.053 0.160 0.725 x16
Al 0.071 0.157 0.353 x16
Al 0.088 0.498 0.427 x16
Al 0.210 0.032 0.150 x16
Pt 0.093 0.120 0.970 x16
Pt 0.099 0.464 0.667 x16



(9)
The following is a simulated powder X-ray diffraction pattern of Sc2AlSi3Pt2. It was derived from a DFT-relaxed cell (PBE, OQMD), using λ = 1.5418 Å (Cu Kα).
Peak positions follow from Bragg's law for the DFT cell and can differ from measured ones.

Main lines, low angle first (15° ≤ 2θ ≤ 90°):
h k l  Position (°2θ)  I_rel
2 0 0  18.12  1000
2 0 1  23.39  359
1 1 -1  27.04  982
1 1 1  27.49  857
0 0 2  27.92  665
1 1 2  37.06  429
3 1 -1  37.34  754
3 1 1  38.34  522
0 2 0  43.81  483
1 1 -3  48.59  360

Structure:
a b c (Å): 9.803 4.133 6.397
angles (deg): 90.00 92.69 90.00
Space group Cm (No. 8)
One atom of each set of equivalent atoms:
Sc 0.000 0.000 0.000 x2
Sc 0.153 0.000 0.506 x2
Al 0.448 0.000 0.305 x2
Si 0.192 0.500 0.805 x2
Si 0.201 0.500 0.206 x2
Si 0.454 0.000 0.708 x2
Pt 0.283 0.000 0.990 x2
Pt 0.367 0.500 0.519 x2



(10)
The following is a simulated powder X-ray diffraction pattern of TbAlSiPt. It was derived from a DFT-relaxed cell (PBE, OQMD), using λ = 1.5418 Å (Cu Kα).
Peak positions follow from Bragg's law for the DFT cell and can differ from measured ones.

Main lines, low angle first (15° ≤ 2θ ≤ 90°):
h k l  Position (°2θ)  I_rel
2 0 -1  17.01  1000
0 0 2  26.03  882
1 1 0  26.57  719
1 1 1  29.87  457
3 1 0  31.77  807
3 1 -1  33.86  607
6 0 -1  38.10  609
2 0 -3  40.51  587
3 1 2  42.47  698
3 1 -3  50.32  441

Structure:
a b c (Å): 14.718 3.446 6.866
angles (deg): 90.00 94.48 90.00
Space group C2/m (No. 12)
One atom of each set of equivalent atoms:
Tb 0.202 0.000 0.244 x4
Al 0.094 0.500 0.553 x4
Si 0.123 0.500 0.917 x4
Pt 0.037 0.500 0.204 x4



(11)
The following is a simulated powder X-ray diffraction pattern of Tm2Al3SiPt2. It was derived from a DFT-relaxed cell (PBE, OQMD), using λ = 1.5418 Å (Cu Kα).
Peak positions follow from Bragg's law for the DFT cell and can differ from measured ones.

Main lines, low angle first (15° ≤ 2θ ≤ 90°):
h k l  Position (°2θ)  I_rel
4 0 0  19.12  518
4 0 -1  29.13  564
1 1 1  31.62  1000
5 1 0  32.85  567
3 1 -1  34.52  549
5 1 1  39.75  291
0 0 2  44.37  283
8 0 -1  44.92  389
0 2 0  45.16  269
9 1 0  49.68  291

Structure:
a b c (Å): 18.569 4.015 4.083
angles (deg): 90.00 90.00 90.00
Space group Cm (No. 8)
One atom of each set of equivalent atoms:
Tm 0.000 0.000 0.000 x2
Tm 0.204 0.000 0.501 x2
Al 0.135 0.500 0.002 x2
Al 0.351 0.500 0.496 x2
Al 0.352 0.000 0.996 x2
Si 0.064 0.500 0.502 x2
Pt 0.268 0.500 0.997 x2
Pt 0.435 0.000 0.497 x2